(1)
The following is a theoretical powder X-ray diffraction pattern of SnRhPb. It was derived from a PBE-relaxed structure, using Cu Kα X-rays.
Intensities are scaled so that the largest is 100.

Top 8 peaks for 10 to 90 degrees two-theta, in order of rising 2θ:
h k l  Position (°2θ)  Rel. int.
0 0 2  30.25  18
2 1 1  33.93  100
1 1 2  35.96  25
2 0 2  40.98  34
3 1 0  43.32  34
2 1 3  56.11  25
4 1 1  59.81  19
3 3 2  68.07  21

Atomic structure:
Lattice parameters (Å, degrees): 6.6052 6.6052 5.9107 90.00 90.00 90.00
Space group P4/mbm (No. 127)
One atom of each set of equivalent atoms:
Sn 0.1607 0.3393 0.0000 (multiplicity 4)
Rh 0.0000 0.0000 0.2389 (multiplicity 4)
Pb 0.1679 0.6679 0.5000 (multiplicity 4)

***

(2)
The following is a theoretical powder X-ray diffraction pattern of PuTc2Ge2N. It was derived from a PBE-relaxed structure, using Cu Kα X-rays.
Intensities are scaled so that the largest is 100.

Top 8 peaks for 10 to 90 degrees two-theta, in order of rising 2θ:
h k l  Position (°2θ)  Rel. int.
1 0 1  26.95  32
0 0 2  32.56  14
1 1 1  34.70  100
1 0 2  39.33  51
2 0 0  43.71  46
2 1 2  60.24  29
2 2 0  63.53  15
3 1 1  74.46  22

Atomic structure:
Lattice parameters (Å, degrees): 4.1419 4.1419 5.5001 90.00 90.00 90.00
Space group P4/mmm (No. 123)
One atom of each set of equivalent atoms:
Pu 0.0000 0.0000 0.0000 (multiplicity 1)
Tc 0.0000 0.5000 0.5000 (multiplicity 2)
Ge 0.5000 0.5000 0.2169 (multiplicity 2)
N 0.0000 0.0000 0.5000 (multiplicity 1)

***

(3)
The following is a theoretical powder X-ray diffraction pattern of LiSiAu6. It was derived from a PBE-relaxed structure, using Cu Kα X-rays.
Intensities are scaled so that the largest is 100.

Top 8 peaks for 10 to 90 degrees two-theta, in order of rising 2θ:
h k l  Position (°2θ)  Rel. int.
0 2 0  28.90  14
2 0 0  31.64  37
0 0 3  38.67  18
0 2 2  38.88  100
2 0 -3  39.03  33
2 2 -1  41.32  64
0 4 0  59.87  22
4 2 0  73.60  16

Atomic structure:
Lattice parameters (Å, degrees): 6.1770 6.1820 7.6236 90.00 113.61 90.00
Space group C2/m (No. 12)
One atom of each set of equivalent atoms:
Li 0.0000 0.0000 0.0000 (multiplicity 2)
Si 0.0000 0.5000 0.0000 (multiplicity 2)
Au 0.1425 0.2500 0.7840 (multiplicity 8)
Au 0.2504 0.0000 0.5013 (multiplicity 4)

***

(4)
The following is a theoretical powder X-ray diffraction pattern of LiDy2IrO5. It was derived from a PBE-relaxed structure, using Cu Kα X-rays.
Intensities are scaled so that the largest is 100.

Top 8 peaks for 10 to 90 degrees two-theta, in order of rising 2θ:
h k l  Position (°2θ)  Rel. int.
0 1 1  17.57  86
0 2 0  31.45  27
1 1 2  31.95  100
1 0 3  33.30  23
0 1 5  44.28  25
0 2 4  45.99  16
1 2 3  46.46  34
1 3 2  56.32  21

Atomic structure:
Lattice parameters (Å, degrees): 3.9763 5.6883 10.9602 90.00 90.00 90.00
Space group Immm (No. 71)
One atom of each set of equivalent atoms:
Li 0.0000 0.0000 0.0000 (multiplicity 2)
Dy 0.0000 0.5000 0.2095 (multiplicity 4)
Ir 0.0000 0.0000 0.5000 (multiplicity 2)
O 0.0000 0.2298 0.3520 (multiplicity 8)
O 0.0000 0.5000 0.0000 (multiplicity 2)

***

(5)
The following is a theoretical powder X-ray diffraction pattern of CeTa7O19. It was derived from a PBE-relaxed structure, using Cu Kα X-rays.
Intensities are scaled so that the largest is 100.

Top 8 peaks for 10 to 90 degrees two-theta, in order of rising 2θ:
h k l  Position (°2θ)  Rel. int.
1 0 0  16.24  27
0 0 6  26.46  63
1 1 1  28.66  100
1 1 2  29.69  40
1 1 4  33.51  47
1 1 5  36.14  50
3 0 0  50.13  40
3 0 6  57.57  39

Atomic structure:
Lattice parameters (Å, degrees): 6.3037 6.3037 20.2091 90.00 90.00 120.00
Space group P6_322 (No. 182)
One atom of each set of equivalent atoms:
Ce 0.3333 0.6667 0.2500 (multiplicity 2)
Ta 0.0031 0.3589 0.9054 (multiplicity 12)
Ta 0.3333 0.6667 0.7500 (multiplicity 2)
O 0.0000 0.3937 0.0000 (multiplicity 6)
O 0.0027 0.2454 0.4032 (multiplicity 12)
O 0.0494 0.4277 0.8059 (multiplicity 12)
O 0.3333 0.6667 0.1147 (multiplicity 4)
O 0.3333 0.6667 0.5903 (multiplicity 4)

***

(6)
The following is a theoretical powder X-ray diffraction pattern of Ac2Sn3Rh2. It was derived from a PBE-relaxed structure, using Cu Kα X-rays.
Intensities are scaled so that the largest is 100.

Top 8 peaks for 10 to 90 degrees two-theta, in order of rising 2θ:
h k l  Position (°2θ)  Rel. int.
1 3 1  25.90  21
1 1 2  30.66  100
1 5 1  31.33  81
0 8 0  35.06  30
2 0 0  38.46  45
0 4 3  39.77  35
1 7 2  43.60  28
2 4 3  56.52  25

Atomic structure:
Lattice parameters (Å, degrees): 4.6809 20.4768 7.5835 90.00 90.00 90.00
Space group Cmcm (No. 63)
One atom of each set of equivalent atoms:
Ac 0.0000 0.0487 0.2500 (multiplicity 4)
Ac 0.0000 0.1689 0.7500 (multiplicity 4)
Sn 0.0000 0.2133 0.2500 (multiplicity 4)
Sn 0.0000 0.4307 0.0585 (multiplicity 8)
Rh 0.0000 0.2996 0.5432 (multiplicity 8)

***

(7)
The following is a theoretical powder X-ray diffraction pattern of Ho4MgCu. It was derived from a PBE-relaxed structure, using Cu Kα X-rays.
Intensities are scaled so that the largest is 100.

Top 8 peaks for 10 to 90 degrees two-theta, in order of rising 2θ:
h k l  Position (°2θ)  Rel. int.
0 0 1  11.66  24
0 0 2  23.43  37
1 1 0  25.97  72
1 1 2  35.26  100
2 0 0  37.06  52
2 0 2  44.31  28
1 1 3  44.48  21
3 1 2  65.63  33

Atomic structure:
Lattice parameters (Å, degrees): 4.8517 4.8517 7.5926 90.00 90.00 90.00
Space group P4/mmm (No. 123)
One atom of each set of equivalent atoms:
Ho 0.0000 0.5000 0.2156 (multiplicity 4)
Mg 0.0000 0.0000 0.5000 (multiplicity 1)
Cu 0.5000 0.5000 0.0000 (multiplicity 1)

***

(8)
The following is a theoretical powder X-ray diffraction pattern of BiHPt3Pb. It was derived from a PBE-relaxed structure, using Cu Kα X-rays.
Intensities are scaled so that the largest is 100.

Top 8 peaks for 10 to 90 degrees two-theta, in order of rising 2θ:
h k l  Position (°2θ)  Rel. int.
0 2 2  32.71  57
0 4 1  33.48  70
1 3 1  33.69  95
2 0 -2  34.25  100
1 5 -1  41.72  47
2 4 -1  42.55  64
1 3 -3  47.16  46
2 4 3  73.02  37

Atomic structure:
Lattice parameters (Å, degrees): 6.1151 11.8833 6.6174 90.00 111.18 90.00
Space group C2/c (No. 15)
One atom of each set of equivalent atoms:
Bi 0.0000 0.0908 0.2500 (multiplicity 4)
H 0.0000 0.4719 0.2500 (multiplicity 4)
Pt 0.0000 0.3239 0.2500 (multiplicity 4)
Pt 0.1784 0.4376 0.9687 (multiplicity 8)
Pb 0.0000 0.2239 0.7500 (multiplicity 4)

***

(9)
The following is a theoretical powder X-ray diffraction pattern of La4PmCu5. It was derived from a PBE-relaxed structure, using Cu Kα X-rays.
Intensities are scaled so that the largest is 100.

Top 8 peaks for 10 to 90 degrees two-theta, in order of rising 2θ:
h k l  Position (°2θ)  Rel. int.
1 0 0  24.61  14
1 0 5  34.79  100
1 1 0  35.08  49
0 0 10  49.58  9
2 0 0  50.45  17
1 1 10  62.18  17
2 1 5  62.74  35
2 0 10  73.44  10

Atomic structure:
Lattice parameters (Å, degrees): 3.6175 3.6175 18.3858 90.00 90.00 90.00
Space group P4/mmm (No. 123)
One atom of each set of equivalent atoms:
La 0.0000 0.0000 0.1007 (multiplicity 2)
La 0.0000 0.0000 0.3025 (multiplicity 2)
Pm 0.0000 0.0000 0.5000 (multiplicity 1)
Cu 0.5000 0.5000 0.0000 (multiplicity 1)
Cu 0.5000 0.5000 0.2014 (multiplicity 2)
Cu 0.5000 0.5000 0.4072 (multiplicity 2)

***

(10)
The following is a theoretical powder X-ray diffraction pattern of Cd2H2O3. It was derived from a PBE-relaxed structure, using Cu Kα X-rays.
Intensities are scaled so that the largest is 100.

Top 8 peaks for 10 to 90 degrees two-theta, in order of rising 2θ:
h k l  Position (°2θ)  Rel. int.
2 0 -1  21.90  100
1 1 0  28.24  41
2 0 1  28.89  32
4 0 0  35.19  49
1 1 1  35.39  59
0 0 2  37.86  31
3 1 -1  39.08  31
1 1 -2  45.86  41

Atomic structure:
Lattice parameters (Å, degrees): 10.5887 3.3233 4.9295 90.00 105.48 90.00
Space group C2/m (No. 12)
One atom of each set of equivalent atoms:
Cd 0.1148 0.0000 0.2903 (multiplicity 4)
H 0.1135 0.5000 0.7735 (multiplicity 4)
O 0.0000 0.5000 0.0000 (multiplicity 2)
O 0.1634 0.5000 0.6282 (multiplicity 4)

***

(11)
The following is a theoretical powder X-ray diffraction pattern of ThNi4H6Au. It was derived from a PBE-relaxed structure, using Cu Kα X-rays.
Intensities are scaled so that the largest is 100.

Top 8 peaks for 10 to 90 degrees two-theta, in order of rising 2θ:
h k l  Position (°2θ)  Rel. int.
1 0 0  23.23  46
1 0 2  36.24  100
1 1 0  40.82  63
2 0 2  55.71  29
1 0 4  62.02  15
2 1 2  71.33  28
1 1 4  72.11  9
3 0 0  74.31  10

Atomic structure:
Lattice parameters (Å, degrees): 4.4217 4.4217 6.5031 90.00 90.00 120.00
Space group P6/mmm (No. 191)
One atom of each set of equivalent atoms:
Th 0.0000 0.0000 0.0000 (multiplicity 1)
Ni 0.3333 0.6667 0.3125 (multiplicity 4)
H 0.0000 0.5000 0.1598 (multiplicity 6)
Au 0.0000 0.0000 0.5000 (multiplicity 1)

***

(12)
The following is a theoretical powder X-ray diffraction pattern of SrTlPb. It was derived from a PBE-relaxed structure, using Cu Kα X-rays.
Intensities are scaled so that the largest is 100.

Top 8 peaks for 10 to 90 degrees two-theta, in order of rising 2θ:
h k l  Position (°2θ)  Rel. int.
1 1 1  30.50  100
0 2 0  33.21  20
0 0 3  36.33  15
2 0 -1  36.46  16
2 2 -1  50.09  25
1 3 1  57.66  17
3 1 0  61.86  13
3 1 -3  62.03  7

Atomic structure:
Lattice parameters (Å, degrees): 4.9292 5.3952 7.8075 90.00 108.15 90.00
Space group P2_1/m (No. 11)
One atom of each set of equivalent atoms:
Sr 0.0966 0.2500 0.1940 (multiplicity 2)
Tl 0.2456 0.7500 0.4882 (multiplicity 2)
Pb 0.4134 0.2500 0.8289 (multiplicity 2)

***

- What is the formula in the eighth record?
  BiHPt3Pb